For AlGeW, a structure optimized by DFT (PBE) gives the simulated PXRD pattern in this record (Cu Kα X-rays).

Most intense lines, 5 to 70 degrees two-theta, most intense first:
2θ (°)  intensity  hkl
38.32  100  1 1 3
23.37  78  1 1 1
42.38  76  2 2 0
29.16  52  0 2 2
48.36  51  1 3 3
40.56  43  0 4 0

Crystal structure
Lattice parameters (Å, degrees): 4.860 8.897 8.442 90.00 90.00 90.00
Space group Fdd2 (No. 43)
One atom of each set of equivalent atoms:
Al 0.000 0.000 0.000 x8
Ge 0.000 0.000 0.324 x8
W 0.000 0.000 0.662 x8